This entry pairs a crystal structure of BaSrYWO6 with its simulated powder diffraction line list. Radiation: Cu Kα (weighted mean of Kα1 and Kα2). Structure: a DFT-relaxed cell (PBE+U, the Materials Project).
Neutral-atom scattering factors, no anomalous dispersion.

Main lines, by angle (10 to 90 degrees two-theta):
(hkl)	d [Å]	I/Imax
1 1 1	4.889	12
2 0 0	4.234	5
2 2 0	2.994	100
3 1 1	2.553	6
4 0 0	2.117	30
4 2 2	1.729	40
4 4 0	1.497	19
6 2 0	1.339	18
4 4 4	1.222	6
6 4 2	1.132	22

Atomic structure:
a = 8.4688 Å, b = 8.4688 Å, c = 8.4688 Å
α = 90.00°, β = 90.00°, γ = 90.00°
Space group F-43m (No. 216)
One atom of each set of equivalent atoms:
Ba: 0.0000 0.0000 0.0000 x4
Sr: 0.0000 0.0000 0.5000 x4
Y: 0.2500 0.2500 0.2500 x4
W: 0.2500 0.2500 0.7500 x4
O: 0.0139 0.2500 0.7500 x24